# 1
This entry pairs a crystal structure of Dy3Ag2Pt3 with its theoretical X-ray powder pattern. Radiation: Cu Ka. Structure: a DFT-relaxed cell (GGA-PBE, Alexandria).
Intensities are scaled so that the largest is 100.

Atomic structure:
```
data_Dy3Ag2Pt3
_chemical_formula_sum 'Dy6 Ag4 Pt6'
_cell_length_a 8.4950
_cell_length_b 8.4950
_cell_length_c 5.6725
_cell_angle_alpha 90.00
_cell_angle_beta 90.00
_cell_angle_gamma 120.00
_space_group_name_H-M_alt 'P 1'
_space_group_IT_number 1
loop_
_space_group_symop_operation_xyz
'x,y,z'
loop_
_atom_site_label
_atom_site_fract_x
_atom_site_fract_y
_atom_site_fract_z
Dy1 0.0000 0.2968 0.2500
Dy2 0.0000 0.7032 0.7500
Dy3 0.2968 0.0000 0.2500
Dy4 0.2968 0.2968 0.7500
Dy5 0.7032 0.0000 0.7500
Dy6 0.7032 0.7032 0.2500
Ag1 0.3333 0.6667 0.0000
Ag2 0.3333 0.6667 0.5000
Ag3 0.6667 0.3333 0.0000
Ag4 0.6667 0.3333 0.5000
Pt1 0.0000 0.3648 0.7500
Pt2 0.0000 0.6352 0.2500
Pt3 0.3648 0.0000 0.7500
Pt4 0.3648 0.3648 0.2500
Pt5 0.6352 0.0000 0.2500
Pt6 0.6352 0.6352 0.7500
```

Principal peaks in the range 2θ = 10–90°, by intensity:
two_theta  I/Imax
36.65  100
38.15  73
35.97  33
49.11  33
31.54  26
20.91  24
77.80  22
53.93  22
66.98  18
69.63  14



# 2
This entry pairs a crystal structure of RbDyAgSe3 with its theoretical X-ray powder pattern. Radiation: Cu Ka. Structure: a DFT-relaxed cell (GGA-PBE, Alexandria).
Intensities are scaled so that the largest is 100.

Atomic structure:
```
data_RbDyAgSe3
_chemical_formula_sum 'Rb2 Dy2 Ag2 Se6'
_cell_length_a 8.2455
_cell_length_b 8.2455
_cell_length_c 10.7755
_cell_angle_alpha 90.00
_cell_angle_beta 90.00
_cell_angle_gamma 150.84
_space_group_name_H-M_alt 'P 1'
_space_group_IT_number 1
loop_
_space_group_symop_operation_xyz
'x,y,z'
loop_
_atom_site_label
_atom_site_fract_x
_atom_site_fract_y
_atom_site_fract_z
Rb1 0.2490 0.7510 0.7500
Rb2 0.7510 0.2490 0.2500
Dy1 0.0000 0.0000 0.0000
Dy2 0.0000 0.0000 0.5000
Ag1 0.4675 0.5325 0.2500
Ag2 0.5325 0.4675 0.7500
Se1 0.0715 0.9285 0.2500
Se2 0.3778 0.6222 0.0480
Se3 0.3778 0.6222 0.4520
Se4 0.6222 0.3778 0.5480
Se5 0.6222 0.3778 0.9520
Se6 0.9285 0.0715 0.7500
```

Principal peaks in the range 2θ = 10–90°, by intensity:
two_theta  I/Imax
11.09  100
32.00  65
28.51  59
39.34  47
33.26  35
27.24  27
43.61  23
50.72  20
55.93  15
52.40  15



# 3
This entry pairs a crystal structure of Dy6AgRh3 with its theoretical X-ray powder pattern. Radiation: Cu Ka. Structure: a DFT-relaxed cell (GGA-PBE, Alexandria).
Intensities are scaled so that the largest is 100.

Atomic structure:
```
data_Dy6AgRh3
_chemical_formula_sum 'Dy12 Ag2 Rh6'
_cell_length_a 11.5135
_cell_length_b 4.0768
_cell_length_c 11.6936
_cell_angle_alpha 90.00
_cell_angle_beta 108.43
_cell_angle_gamma 90.00
_space_group_name_H-M_alt 'P 1'
_space_group_IT_number 1
loop_
_space_group_symop_operation_xyz
'x,y,z'
loop_
_atom_site_label
_atom_site_fract_x
_atom_site_fract_y
_atom_site_fract_z
Dy1 0.0425 0.2500 0.4075
Dy2 0.1147 0.2500 0.9707
Dy3 0.2032 0.7500 0.2689
Dy4 0.2567 0.7500 0.7805
Dy5 0.3712 0.2500 0.5500
Dy6 0.4402 0.7500 0.1052
Dy7 0.5598 0.2500 0.8948
Dy8 0.6288 0.7500 0.4500
Dy9 0.7433 0.2500 0.2195
Dy10 0.7968 0.2500 0.7311
Dy11 0.8853 0.7500 0.0293
Dy12 0.9575 0.7500 0.5925
Ag1 0.4272 0.2500 0.3029
Ag2 0.5728 0.7500 0.6971
Rh1 0.0266 0.2500 0.1717
Rh2 0.1966 0.7500 0.5204
Rh3 0.3418 0.2500 0.9411
Rh4 0.6582 0.7500 0.0589
Rh5 0.8034 0.2500 0.4796
Rh6 0.9734 0.7500 0.8283
```

Principal peaks in the range 2θ = 10–90°, by intensity:
two_theta  I/Imax
32.98  100
31.21  96
44.45  90
35.61  83
29.94  64
29.83  63
31.62  58
39.73  46
32.03  44
55.22  37



# 4
This entry pairs a crystal structure of Dy7Ag2Rh2 with its theoretical X-ray powder pattern. Radiation: Cu Ka. Structure: a DFT-relaxed cell (GGA-PBE, Alexandria).
Intensities are scaled so that the largest is 100.

Atomic structure:
```
data_Dy7Ag2Rh2
_chemical_formula_sum 'Dy7 Ag2 Rh2'
_cell_length_a 6.6972
_cell_length_b 6.6972
_cell_length_c 7.0833
_cell_angle_alpha 90.00
_cell_angle_beta 90.00
_cell_angle_gamma 108.06
_space_group_name_H-M_alt 'P 1'
_space_group_IT_number 1
loop_
_space_group_symop_operation_xyz
'x,y,z'
loop_
_atom_site_label
_atom_site_fract_x
_atom_site_fract_y
_atom_site_fract_z
Dy1 0.0000 0.0000 0.0000
Dy2 0.0000 0.5000 0.2559
Dy3 0.0000 0.5000 0.7441
Dy4 0.5000 0.0000 0.2559
Dy5 0.5000 0.0000 0.7441
Dy6 0.5000 0.5000 0.2494
Dy7 0.5000 0.5000 0.7506
Ag1 0.1801 0.1801 0.5000
Ag2 0.8199 0.8199 0.5000
Rh1 0.2895 0.7105 0.0000
Rh2 0.7105 0.2895 0.0000
```

Principal peaks in the range 2θ = 10–90°, by intensity:
two_theta  I/Imax
38.00  100
33.05  61
28.03  55
28.85  45
37.34  43
25.91  32
30.14  20
51.61  19
62.67  19
46.15  19



# 5
This entry pairs a crystal structure of Dy6AgRh2 with its theoretical X-ray powder pattern. Radiation: Cu Ka. Structure: a DFT-relaxed cell (GGA-PBE, Alexandria).
Intensities are scaled so that the largest is 100.

Atomic structure:
```
data_Dy6AgRh2
_chemical_formula_sum 'Dy12 Ag2 Rh4'
_cell_length_a 8.4308
_cell_length_b 8.4308
_cell_length_c 8.4308
_cell_angle_alpha 113.09
_cell_angle_beta 110.86
_cell_angle_gamma 104.58
_space_group_name_H-M_alt 'P 1'
_space_group_IT_number 1
loop_
_space_group_symop_operation_xyz
'x,y,z'
loop_
_atom_site_label
_atom_site_fract_x
_atom_site_fract_y
_atom_site_fract_z
Dy1 0.0402 0.2366 0.8036
Dy2 0.1795 0.2834 0.4629
Dy3 0.1795 0.7166 0.8961
Dy4 0.3281 0.0219 0.6937
Dy5 0.3281 0.6344 0.3063
Dy6 0.4330 0.2366 0.1964
Dy7 0.5670 0.7634 0.8036
Dy8 0.6719 0.3656 0.6937
Dy9 0.6719 0.9781 0.3063
Dy10 0.8205 0.2834 0.1039
Dy11 0.8205 0.7166 0.5371
Dy12 0.9598 0.7634 0.1964
Ag1 0.0000 0.0000 0.0000
Ag2 0.5000 0.5000 0.0000
Rh1 0.1314 0.6314 0.5000
Rh2 0.3345 0.0000 0.3345
Rh3 0.6655 0.0000 0.6655
Rh4 0.8686 0.3686 0.5000
```

Principal peaks in the range 2θ = 10–90°, by intensity:
two_theta  I/Imax
31.97  100
34.44  82
33.76  64
35.22  62
60.36  37
38.75  32
35.60  31
39.71  26
30.32  26
39.14  25



# 6
This entry pairs a crystal structure of Dy8AgRh2 with its theoretical X-ray powder pattern. Radiation: Cu Ka. Structure: a DFT-relaxed cell (GGA-PBE, Alexandria).
Intensities are scaled so that the largest is 100.

Atomic structure:
```
data_Dy8AgRh2
_chemical_formula_sum 'Dy8 Ag1 Rh2'
_cell_length_a 7.7985
_cell_length_b 7.7985
_cell_length_c 5.5880
_cell_angle_alpha 98.34
_cell_angle_beta 98.34
_cell_angle_gamma 114.05
_space_group_name_H-M_alt 'P 1'
_space_group_IT_number 1
loop_
_space_group_symop_operation_xyz
'x,y,z'
loop_
_atom_site_label
_atom_site_fract_x
_atom_site_fract_y
_atom_site_fract_z
Dy1 0.0000 0.0000 0.0000
Dy2 0.0500 0.3046 0.6062
Dy3 0.1427 0.6207 0.1905
Dy4 0.3046 0.0500 0.6062
Dy5 0.4588 0.7135 0.7750
Dy6 0.6207 0.1427 0.1905
Dy7 0.7135 0.4588 0.7750
Dy8 0.7636 0.7636 0.3810
Ag1 0.3818 0.3818 0.1872
Rh1 0.0802 0.6833 0.6906
Rh2 0.6833 0.0802 0.6906
```

Principal peaks in the range 2θ = 10–90°, by intensity:
two_theta  I/Imax
32.01  100
33.33  98
35.12  80
30.77  71
32.84  59
38.55  44
36.06  34
53.38  34
65.50  34
56.23  34



# 7
This entry pairs a crystal structure of Dy4AgRh2 with its theoretical X-ray powder pattern. Radiation: Cu Ka. Structure: a DFT-relaxed cell (GGA-PBE, Alexandria).
Intensities are scaled so that the largest is 100.

Atomic structure:
```
data_Dy4AgRh2
_chemical_formula_sum 'Dy8 Ag2 Rh4'
_cell_length_a 7.7640
_cell_length_b 7.3905
_cell_length_c 8.8116
_cell_angle_alpha 56.45
_cell_angle_beta 52.49
_cell_angle_gamma 71.06
_space_group_name_H-M_alt 'P 1'
_space_group_IT_number 1
loop_
_space_group_symop_operation_xyz
'x,y,z'
loop_
_atom_site_label
_atom_site_fract_x
_atom_site_fract_y
_atom_site_fract_z
Dy1 0.0495 0.9505 0.1786
Dy2 0.0714 0.4286 0.2005
Dy3 0.1709 0.5346 0.7280
Dy4 0.4286 0.0714 0.2995
Dy5 0.5220 0.6835 0.0791
Dy6 0.5346 0.1709 0.5665
Dy7 0.6835 0.5220 0.7154
Dy8 0.9505 0.0495 0.8214
Ag1 0.6662 0.6662 0.3338
Ag2 0.9162 0.9162 0.5838
Rh1 0.1709 0.4246 0.4619
Rh2 0.3074 0.7881 0.8254
Rh3 0.4246 0.1709 0.9426
Rh4 0.7881 0.3074 0.0791
```

Principal peaks in the range 2θ = 10–90°, by intensity:
two_theta  I/Imax
32.27  100
32.75  87
39.17  50
37.11  50
32.93  49
31.48  32
29.00  29
37.91  20
39.60  17
82.16  17



# 8
This entry pairs a crystal structure of Dy6Ag2Ru with its theoretical X-ray powder pattern. Radiation: Cu Ka. Structure: a DFT-relaxed cell (GGA-PBE, Alexandria).
Intensities are scaled so that the largest is 100.

Atomic structure:
```
data_Dy6Ag2Ru
_chemical_formula_sum 'Dy12 Ag4 Ru2'
_cell_length_a 6.4263
_cell_length_b 7.6656
_cell_length_c 11.5360
_cell_angle_alpha 90.00
_cell_angle_beta 119.35
_cell_angle_gamma 90.00
_space_group_name_H-M_alt 'P 1'
_space_group_IT_number 1
loop_
_space_group_symop_operation_xyz
'x,y,z'
loop_
_atom_site_label
_atom_site_fract_x
_atom_site_fract_y
_atom_site_fract_z
Dy1 0.1203 0.0233 0.2504
Dy2 0.1203 0.4767 0.7504
Dy3 0.2017 0.6807 0.0597
Dy4 0.2017 0.8193 0.5597
Dy5 0.3796 0.1787 0.0462
Dy6 0.3796 0.3213 0.5462
Dy7 0.6204 0.6787 0.4538
Dy8 0.6204 0.8213 0.9538
Dy9 0.7983 0.1807 0.4403
Dy10 0.7983 0.3193 0.9403
Dy11 0.8797 0.5233 0.2496
Dy12 0.8797 0.9767 0.7496
Ag1 0.3296 0.1127 0.7524
Ag2 0.3296 0.3873 0.2524
Ag3 0.6704 0.6127 0.7476
Ag4 0.6704 0.8873 0.2476
Ru1 0.5000 0.0000 0.5000
Ru2 0.5000 0.5000 0.0000
```

Principal peaks in the range 2θ = 10–90°, by intensity:
two_theta  I/Imax
32.16  100
33.18  90
29.30  84
37.91  79
31.93  69
29.11  65
28.89  56
30.24  53
34.08  52
35.72  52



# 9
This entry pairs a crystal structure of Dy3AgS6 with its theoretical X-ray powder pattern. Radiation: Cu Ka. Structure: a DFT-relaxed cell (GGA-PBE, Alexandria).
Intensities are scaled so that the largest is 100.

Atomic structure:
```
data_Dy3AgS6
_chemical_formula_sum 'Dy6 Ag2 S12'
_cell_length_a 8.4213
_cell_length_b 8.4213
_cell_length_c 6.6529
_cell_angle_alpha 90.00
_cell_angle_beta 90.00
_cell_angle_gamma 103.69
_space_group_name_H-M_alt 'P 1'
_space_group_IT_number 1
loop_
_space_group_symop_operation_xyz
'x,y,z'
loop_
_atom_site_label
_atom_site_fract_x
_atom_site_fract_y
_atom_site_fract_z
Dy1 0.0970 0.9030 0.5000
Dy2 0.2070 0.4171 0.5973
Dy3 0.4171 0.2070 0.0973
Dy4 0.5829 0.7930 0.5973
Dy5 0.7930 0.5829 0.0973
Dy6 0.9030 0.0970 0.0000
Ag1 0.3470 0.6530 0.0921
Ag2 0.6530 0.3470 0.5921
S1 0.0808 0.5982 0.3058
S2 0.1342 0.1934 0.2955
S3 0.1934 0.1342 0.7955
S4 0.2697 0.7303 0.7507
S5 0.4018 0.9192 0.3058
S6 0.4911 0.5089 0.3569
S7 0.5089 0.4911 0.8569
S8 0.5982 0.0808 0.8058
S9 0.7303 0.2697 0.2507
S10 0.8066 0.8658 0.2955
S11 0.8658 0.8066 0.7955
S12 0.9192 0.4018 0.8058
```

Principal peaks in the range 2θ = 10–90°, by intensity:
two_theta  I/Imax
25.56  100
38.36  28
25.69  23
38.09  20
42.96  20
35.58  19
46.60  14
34.82  14
26.80  12
75.87  12



# 10
This entry pairs a crystal structure of DySiAgS4 with its theoretical X-ray powder pattern. Radiation: Cu Ka. Structure: a DFT-relaxed cell (GGA-PBE, Alexandria).
Intensities are scaled so that the largest is 100.

Atomic structure:
```
data_DySiAgS4
_chemical_formula_sum 'Dy2 Si2 Ag2 S8'
_cell_length_a 6.4377
_cell_length_b 6.6405
_cell_length_c 7.5945
_cell_angle_alpha 90.00
_cell_angle_beta 94.18
_cell_angle_gamma 90.00
_space_group_name_H-M_alt 'P 1'
_space_group_IT_number 1
loop_
_space_group_symop_operation_xyz
'x,y,z'
loop_
_atom_site_label
_atom_site_fract_x
_atom_site_fract_y
_atom_site_fract_z
Dy1 0.2233 0.2500 0.0573
Dy2 0.7767 0.7500 0.9427
Si1 0.2851 0.7500 0.8123
Si2 0.7149 0.2500 0.1877
Ag1 0.1322 0.2500 0.5133
Ag2 0.8678 0.7500 0.4867
S1 0.0669 0.5035 0.7718
S2 0.0669 0.9965 0.7718
S3 0.3957 0.7500 0.0813
S4 0.4756 0.2500 0.3580
S5 0.5244 0.7500 0.6420
S6 0.6043 0.2500 0.9187
S7 0.9331 0.0035 0.2282
S8 0.9331 0.4965 0.2282
```

Principal peaks in the range 2θ = 10–90°, by intensity:
two_theta  I/Imax
19.23  100
31.33  68
26.85  54
37.90  48
38.05  45
35.97  45
30.95  36
13.79  27
17.76  25
49.18  22



# 11
This entry pairs a crystal structure of TbDy4AgS8 with its theoretical X-ray powder pattern. Radiation: Cu Ka. Structure: a DFT-relaxed cell (GGA-PBE, Alexandria).
Intensities are scaled so that the largest is 100.

Atomic structure:
```
data_TbDy4AgS8
_chemical_formula_sum 'Tb1 Dy4 Ag1 S8'
_cell_length_a 8.0401
_cell_length_b 8.0401
_cell_length_c 8.0401
_cell_angle_alpha 59.90
_cell_angle_beta 59.90
_cell_angle_gamma 59.90
_space_group_name_H-M_alt 'P 1'
_space_group_IT_number 1
loop_
_space_group_symop_operation_xyz
'x,y,z'
loop_
_atom_site_label
_atom_site_fract_x
_atom_site_fract_y
_atom_site_fract_z
Tb1 0.0000 0.0000 0.0000
Dy1 0.0000 0.0000 0.5170
Dy2 0.0000 0.5170 0.0000
Dy3 0.3791 0.3791 0.3791
Dy4 0.5170 0.0000 0.0000
Ag1 0.6296 0.6296 0.6296
S1 0.2313 0.7613 0.7613
S2 0.2458 0.2458 0.2458
S3 0.2466 0.2466 0.7791
S4 0.2466 0.7791 0.2466
S5 0.7613 0.2313 0.7613
S6 0.7613 0.7613 0.2313
S7 0.7621 0.7621 0.7621
S8 0.7791 0.2466 0.2466
```

Principal peaks in the range 2θ = 10–90°, by intensity:
two_theta  I/Imax
26.01  100
45.14  59
41.29  45
31.50  24
22.13  23
27.19  16
62.86  15
83.38  14
13.50  13
38.83  11



# 12
This entry pairs a crystal structure of Dy3VAg3S8 with its theoretical X-ray powder pattern. Radiation: Cu Ka. Structure: a DFT-relaxed cell (GGA-PBE, Alexandria).
Intensities are scaled so that the largest is 100.

Atomic structure:
```
data_Dy3VAg3S8
_chemical_formula_sum 'Dy3 V1 Ag3 S8'
_cell_length_a 7.7676
_cell_length_b 7.7676
_cell_length_c 7.7965
_cell_angle_alpha 120.08
_cell_angle_beta 120.08
_cell_angle_gamma 60.04
_space_group_name_H-M_alt 'P 1'
_space_group_IT_number 1
loop_
_space_group_symop_operation_xyz
'x,y,z'
loop_
_atom_site_label
_atom_site_fract_x
_atom_site_fract_y
_atom_site_fract_z
Dy1 0.0000 0.0000 0.0000
Dy2 0.0000 0.5000 0.5000
Dy3 0.5000 0.0000 0.5000
V1 0.5000 0.5000 0.0000
Ag1 0.0000 0.5000 0.0000
Ag2 0.5000 0.0000 0.0000
Ag3 0.5000 0.5000 0.5000
S1 0.2482 0.2482 0.2536
S2 0.2732 0.7244 0.7773
S3 0.2756 0.2756 0.7715
S4 0.2756 0.7268 0.2227
S5 0.7244 0.2732 0.7773
S6 0.7244 0.7244 0.2285
S7 0.7268 0.2756 0.2227
S8 0.7518 0.7518 0.7464
```

Principal peaks in the range 2θ = 10–90°, by intensity:
two_theta  I/Imax
32.53  100
28.11  86
46.76  85
32.66  50
16.12  31
22.88  27
77.65  21
13.94  18
55.44  18
46.60  17